No. 1
This entry pairs a crystal structure of Cs2RbIO4 with its simulated X-ray powder pattern. Radiation: Cu Ka. Structure: the GGA-PBE geometry in Alexandria.

Atomic structure:
```
data_Cs2RbIO4
_symmetry_space_group_name_H-M 'I -4'
_symmetry_Int_Tables_number 82
_symmetry_space_group_name_Hall 'I -4'
_cell_length_a 6.683
_cell_length_b 6.683
_cell_length_c 10.165
_cell_angle_alpha 90.00
_cell_angle_beta 90.00
_cell_angle_gamma 90.00
loop_
_atom_site_label
_atom_site_type_symbol
_atom_site_fract_x
_atom_site_fract_y
_atom_site_fract_z
Cs1 Cs 0.000 0.000 0.000
Cs2 Cs 0.000 0.500 0.250
Rb1 Rb 0.000 0.000 0.500
I1 I 0.000 0.500 0.750
O1 O 0.170 0.690 0.649
```

Principal peaks in the range 10 to 80 degrees two-theta, in order of falling intensity:
| two_theta | Rel. int. | index |
| --- | --- | --- |
| 25.74 | 100.0 | 1 1 2 |
| 46.54 | 36.8 | 1 3 2 |
| 26.68 | 36.3 | 2 0 0 |
| 44.81 | 24.2 | 2 0 4 |
| 38.09 | 18.8 | 2 2 0 |
| 52.91 | 12.0 | 2 2 4 |
| 71.35 | 11.4 | 3 1 6 |
| 57.82 | 9.6 | 1 1 6 |
| 73.52 | 9.6 | 4 2 4 |
| 74.81 | 9.6 | 5 1 2 |
| 61.65 | 8.7 | 3 3 2 |
| 62.12 | 8.3 | 2 4 0 |

No. 2
This entry pairs a crystal structure of CuOs2Au with its simulated X-ray powder pattern. Radiation: Cu Ka. Structure: the GGA-PBE geometry in Alexandria.

Atomic structure:
```
data_CuOs2Au
_symmetry_space_group_name_H-M 'P 1 m 1'
_symmetry_Int_Tables_number 6
_symmetry_space_group_name_Hall 'P -2y'
_cell_length_a 2.789
_cell_length_b 3.798
_cell_length_c 5.609
_cell_angle_alpha 90.00
_cell_angle_beta 90.19
_cell_angle_gamma 90.00
loop_
_atom_site_label
_atom_site_type_symbol
_atom_site_fract_x
_atom_site_fract_y
_atom_site_fract_z
Cu1 Cu 0.000 0.000 0.000
Os1 Os 0.000 0.000 0.539
Os2 Os 0.501 0.500 0.735
Au1 Au 0.499 0.500 0.233
```

Principal peaks in the range 10 to 80 degrees two-theta, in order of falling intensity:
| two_theta | Rel. int. | index |
| --- | --- | --- |
| 40.12 | 100.0 | 1 1 0 |
| 39.96 | 92.0 | 0 1 2 |
| 45.81 | 31.2 | 1 0 -2 |
| 45.97 | 31.0 | 1 0 2 |
| 47.91 | 30.2 | 0 2 0 |
| 68.44 | 18.9 | 1 2 -2 |
| 68.57 | 18.8 | 1 2 2 |
| 15.80 | 15.7 | 0 0 1 |
| 67.13 | 11.0 | 2 0 0 |
| 31.91 | 10.6 | 0 0 2 |
| 28.38 | 9.7 | 0 1 1 |
| 23.42 | 7.8 | 0 1 0 |

No. 3
This entry pairs a crystal structure of TbHo2Co2 with its simulated X-ray powder pattern. Radiation: Cu Ka. Structure: the GGA-PBE geometry in Alexandria.

Atomic structure:
```
data_TbHo2Co2
_symmetry_space_group_name_H-M 'C 1 2/m 1'
_symmetry_Int_Tables_number 12
_symmetry_space_group_name_Hall '-C 2y'
_cell_length_a 11.238
_cell_length_b 3.720
_cell_length_c 5.483
_cell_angle_alpha 90.00
_cell_angle_beta 103.75
_cell_angle_gamma 90.00
loop_
_atom_site_label
_atom_site_type_symbol
_atom_site_fract_x
_atom_site_fract_y
_atom_site_fract_z
Tb1 Tb 0.000 0.000 0.000
Ho1 Ho 0.149 0.500 0.582
Co1 Co 0.217 0.500 0.104
```

Principal peaks in the range 10 to 80 degrees two-theta, in order of falling intensity:
| two_theta | Rel. int. | index |
| --- | --- | --- |
| 34.48 | 100.0 | 3 1 0 |
| 29.31 | 68.8 | 1 1 -1 |
| 33.14 | 47.1 | 4 0 -1 |
| 33.76 | 28.6 | 2 0 -2 |
| 31.51 | 27.8 | 1 1 1 |
| 44.19 | 27.0 | 1 1 2 |
| 26.01 | 26.5 | 2 0 1 |
| 48.97 | 24.1 | 0 2 0 |
| 33.66 | 23.5 | 0 0 2 |
| 40.57 | 20.0 | 4 0 1 |
| 63.16 | 19.9 | 7 1 -1 |
| 44.35 | 19.6 | 3 1 -2 |

No. 4
This entry pairs a crystal structure of Mg6GaSn5 with its simulated X-ray powder pattern. Radiation: Cu Ka. Structure: the GGA-PBE geometry in Alexandria.

Atomic structure:
```
data_Mg6GaSn5
_symmetry_space_group_name_H-M 'P 1 2/m 1'
_symmetry_Int_Tables_number 10
_symmetry_space_group_name_Hall '-P 2y'
_cell_length_a 5.395
_cell_length_b 6.701
_cell_length_c 7.795
_cell_angle_alpha 90.00
_cell_angle_beta 97.17
_cell_angle_gamma 90.00
loop_
_atom_site_label
_atom_site_type_symbol
_atom_site_fract_x
_atom_site_fract_y
_atom_site_fract_z
Mg1 Mg 0.000 0.245 0.000
Mg2 Mg 0.332 0.244 0.674
Ga1 Ga 0.500 0.000 0.000
Sn1 Sn 0.171 0.500 0.338
Sn2 Sn 0.175 0.000 0.329
Sn3 Sn 0.500 0.500 0.000
```

Principal peaks in the range 10 to 80 degrees two-theta, in order of falling intensity:
| two_theta | Rel. int. | index |
| --- | --- | --- |
| 34.35 | 100.0 | 1 2 1 |
| 26.65 | 76.4 | 0 2 0 |
| 38.05 | 75.6 | 1 2 -2 |
| 21.33 | 64.4 | 1 0 1 |
| 34.05 | 51.0 | 2 0 -1 |
| 34.80 | 48.1 | 0 0 3 |
| 66.06 | 30.2 | 2 4 -1 |
| 43.46 | 26.1 | 2 0 2 |
| 58.62 | 21.8 | 3 2 0 |
| 59.60 | 20.8 | 1 2 4 |
| 43.73 | 20.7 | 2 2 -1 |
| 44.33 | 20.0 | 0 2 3 |

No. 5
This entry pairs a crystal structure of Nd4CO3 with its simulated X-ray powder pattern. Radiation: Cu Ka. Structure: the GGA-PBE geometry in Alexandria.

Atomic structure:
```
data_Nd4CO3
_symmetry_space_group_name_H-M 'P 1 2/c 1'
_symmetry_Int_Tables_number 13
_symmetry_space_group_name_Hall '-P 2yc'
_cell_length_a 6.276
_cell_length_b 7.288
_cell_length_c 6.285
_cell_angle_alpha 90.00
_cell_angle_beta 109.51
_cell_angle_gamma 90.00
loop_
_atom_site_label
_atom_site_type_symbol
_atom_site_fract_x
_atom_site_fract_y
_atom_site_fract_z
Nd1 Nd 0.247 0.121 0.000
Nd2 Nd 0.248 0.371 0.495
C1 C 0.000 0.131 0.250
O1 O 0.000 0.379 0.750
O2 O 0.500 0.132 0.750
O3 O 0.500 0.378 0.250
```

Principal peaks in the range 10 to 80 degrees two-theta, in order of falling intensity:
| two_theta | Rel. int. | index |
| --- | --- | --- |
| 34.94 | 100.0 | 2 0 -2 |
| 30.11 | 96.2 | 0 0 2 |
| 50.26 | 46.2 | 3 2 -1 |
| 59.76 | 33.9 | 3 2 1 |
| 30.21 | 31.8 | 2 0 0 |
| 59.58 | 19.4 | 2 4 0 |
| 62.53 | 11.6 | 2 4 -2 |
| 50.06 | 11.6 | 0 4 0 |
| 50.35 | 11.5 | 2 0 2 |
| 73.74 | 7.1 | 2 4 2 |
| 62.73 | 5.8 | 0 0 4 |
| 62.83 | 5.8 | 4 0 0 |

No. 6
This entry pairs a crystal structure of Ac7CdPt5 with its simulated X-ray powder pattern. Radiation: Cu Ka. Structure: the GGA-PBE geometry in Alexandria.

Atomic structure:
```
data_Ac7CdPt5
_symmetry_space_group_name_H-M 'C 1 2/m 1'
_symmetry_Int_Tables_number 12
_symmetry_space_group_name_Hall '-C 2y'
_cell_length_a 14.735
_cell_length_b 4.412
_cell_length_c 26.446
_cell_angle_alpha 90.00
_cell_angle_beta 90.03
_cell_angle_gamma 90.00
loop_
_atom_site_label
_atom_site_type_symbol
_atom_site_fract_x
_atom_site_fract_y
_atom_site_fract_z
Ac1 Ac 0.028 0.000 0.250
Ac2 Ac 0.092 0.500 0.104
Ac3 Ac 0.092 0.500 0.396
Ac4 Ac 0.135 0.000 0.535
Ac5 Ac 0.135 0.000 0.965
Ac6 Ac 0.174 0.500 0.830
Ac7 Ac 0.175 0.500 0.670
Cd1 Cd 0.207 0.500 0.250
Pt1 Pt 0.000 0.500 0.000
Pt2 Pt 0.000 0.500 0.500
Pt3 Pt 0.041 0.000 0.857
Pt4 Pt 0.042 0.000 0.643
Pt5 Pt 0.227 0.000 0.071
Pt6 Pt 0.227 0.000 0.429
```

Principal peaks in the range 10 to 80 degrees two-theta, in order of falling intensity:
| two_theta | Rel. int. | index |
| --- | --- | --- |
| 28.01 | 100.0 | 3 1 2 |
| 29.03 | 95.4 | 3 1 -3 |
| 40.55 | 77.7 | 6 0 5 |
| 26.51 | 70.7 | 2 0 7 |
| 40.91 | 49.4 | 0 2 0 |
| 40.23 | 39.7 | 1 1 10 |
| 29.62 | 38.8 | 2 0 8 |
| 49.42 | 26.9 | 2 2 7 |
| 42.19 | 26.6 | 5 1 -6 |
| 51.31 | 25.8 | 2 2 8 |
| 27.38 | 23.2 | 3 1 1 |
| 67.47 | 22.5 | 1 1 -18 |

No. 7
This entry pairs a crystal structure of BaIn8Hg6 with its simulated X-ray powder pattern. Radiation: Cu Ka. Structure: the GGA-PBE geometry in Alexandria.

Atomic structure:
```
data_BaIn8Hg6
_symmetry_space_group_name_H-M 'R -3'
_symmetry_Int_Tables_number 148
_symmetry_space_group_name_Hall '-R 3'
_cell_length_a 9.3719
_cell_length_b 9.3719
_cell_length_c 16.6973
_cell_angle_alpha 90.00
_cell_angle_beta 90.00
_cell_angle_gamma 120.00
loop_
_atom_site_label
_atom_site_type_symbol
_atom_site_fract_x
_atom_site_fract_y
_atom_site_fract_z
Ba1 Ba 0.0000 0.0000 0.0000
In1 In 0.0000 0.0000 0.2194
In2 In 0.0042 0.6768 0.1406
Hg1 Hg 0.0206 0.8033 0.6372
```

Principal peaks in the range 10 to 80 degrees two-theta, in order of falling intensity:
| two_theta | Rel. int. | index |
| --- | --- | --- |
| 29.61 | 100.0 | 3 -1 1 |
| 31.06 | 95.6 | 1 2 2 |
| 37.59 | 73.3 | 1 1 6 |
| 36.34 | 64.7 | 3 -1 4 |
| 36.94 | 46.0 | 0 3 3 |
| 54.36 | 45.5 | 4 1 3 |
| 33.11 | 36.8 | 3 0 0 |
| 64.01 | 34.2 | 4 -2 9 |
| 39.91 | 34.1 | 1 2 5 |
| 28.91 | 23.8 | 0 1 5 |
| 41.83 | 23.7 | 2 2 3 |
| 61.68 | 19.4 | 6 -3 3 |

No. 8
This entry pairs a crystal structure of Dy5Tm12Th2 with its simulated X-ray powder pattern. Radiation: Cu Ka. Structure: the GGA-PBE geometry in Alexandria.

Atomic structure:
```
data_Dy5Tm12Th2
_symmetry_space_group_name_H-M 'P -1'
_symmetry_Int_Tables_number 2
_symmetry_space_group_name_Hall '-P 1'
_cell_length_a 6.085
_cell_length_b 9.320
_cell_length_c 10.531
_cell_angle_alpha 100.92
_cell_angle_beta 95.60
_cell_angle_gamma 90.05
loop_
_atom_site_label
_atom_site_type_symbol
_atom_site_fract_x
_atom_site_fract_y
_atom_site_fract_z
Dy1 Dy 0.000 0.000 0.000
Dy2 Dy 0.159 0.632 0.949
Dy3 Dy 0.267 0.052 0.579
Tm1 Tm 0.052 0.211 0.316
Tm2 Tm 0.107 0.422 0.629
Tm3 Tm 0.211 0.840 0.263
Tm4 Tm 0.315 0.264 0.897
Tm5 Tm 0.368 0.474 0.214
Tm6 Tm 0.474 0.894 0.842
Th1 Th 0.422 0.683 0.526
```

Principal peaks in the range 10 to 80 degrees two-theta, in order of falling intensity:
| two_theta | Rel. int. | index |
| --- | --- | --- |
| 31.14 | 100.0 | 2 1 -1 |
| 36.14 | 67.4 | 1 3 1 |
| 61.94 | 33.2 | 3 4 0 |
| 31.23 | 33.1 | 1 0 3 |
| 52.06 | 24.0 | 0 2 5 |
| 61.82 | 19.1 | 0 5 3 |
| 51.95 | 16.1 | 2 4 -3 |
| 64.98 | 8.2 | 4 2 -2 |
| 52.12 | 8.0 | 3 1 2 |
| 76.65 | 5.1 | 2 6 2 |
| 62.02 | 4.7 | 0 1 -7 |
| 64.87 | 4.1 | 0 6 -4 |

No. 9
This entry pairs a crystal structure of BaCa4Ga with its simulated X-ray powder pattern. Radiation: Cu Ka. Structure: the GGA-PBE geometry in Alexandria.

Atomic structure:
```
data_BaCa4Ga
_symmetry_space_group_name_H-M 'I 4/m c m'
_symmetry_Int_Tables_number 140
_symmetry_space_group_name_Hall '-I 4 2c'
_cell_length_a 7.318
_cell_length_b 7.318
_cell_length_c 19.788
_cell_angle_alpha 90.00
_cell_angle_beta 90.00
_cell_angle_gamma 90.00
loop_
_atom_site_label
_atom_site_type_symbol
_atom_site_fract_x
_atom_site_fract_y
_atom_site_fract_z
Ba1 Ba 0.000 0.000 0.000
Ca1 Ca 0.180 0.320 0.168
Ga1 Ga 0.000 0.000 0.250
```

Principal peaks in the range 10 to 80 degrees two-theta, in order of falling intensity:
| two_theta | Rel. int. | index |
| --- | --- | --- |
| 24.90 | 100.0 | 1 1 4 |
| 30.38 | 82.6 | 2 0 4 |
| 17.13 | 75.2 | 1 1 0 |
| 38.92 | 47.4 | 3 1 0 |
| 30.49 | 34.9 | 2 1 3 |
| 34.67 | 33.0 | 2 2 0 |
| 44.20 | 30.2 | 2 0 8 |
| 43.16 | 28.1 | 3 1 4 |
| 40.42 | 27.8 | 1 1 8 |
| 25.96 | 24.5 | 2 0 2 |
| 27.04 | 22.4 | 0 0 6 |
| 53.42 | 22.1 | 4 0 4 |

No. 10
This entry pairs a crystal structure of Mn5SiB2W2 with its simulated X-ray powder pattern. Radiation: Cu Ka. Structure: the GGA-PBE geometry in Alexandria.

Atomic structure:
```
data_Mn5SiB2W2
_symmetry_space_group_name_H-M 'P 4/m b m'
_symmetry_Int_Tables_number 127
_symmetry_space_group_name_Hall '-P 4 2ab'
_cell_length_a 8.598
_cell_length_b 8.598
_cell_length_c 2.892
_cell_angle_alpha 90.00
_cell_angle_beta 90.00
_cell_angle_gamma 90.00
loop_
_atom_site_label
_atom_site_type_symbol
_atom_site_fract_x
_atom_site_fract_y
_atom_site_fract_z
Mn1 Mn 0.000 0.500 0.000
Mn2 Mn 0.065 0.212 0.000
Si1 Si 0.000 0.000 0.500
B1 B 0.124 0.376 0.500
W1 W 0.176 0.676 0.500
```

Principal peaks in the range 10 to 80 degrees two-theta, in order of falling intensity:
| two_theta | Rel. int. | index |
| --- | --- | --- |
| 38.97 | 100.0 | 2 1 1 |
| 43.39 | 80.8 | 4 1 0 |
| 23.13 | 68.5 | 2 1 0 |
| 45.80 | 62.7 | 3 1 1 |
| 44.72 | 33.6 | 3 3 0 |
| 20.66 | 30.7 | 2 0 0 |
| 37.48 | 28.9 | 2 0 1 |
| 43.17 | 22.4 | 2 2 1 |
| 78.54 | 16.8 | 5 4 1 |
| 49.54 | 15.2 | 3 2 1 |
| 73.80 | 13.9 | 6 0 1 |
| 64.43 | 13.4 | 0 0 2 |